(1)
# La5Nd2Ho
Simulated powder XRD pattern, Cu Kα (λ = 1.5418 Å). Input: a cell relaxed with PBE.

The 8 most intense peaks (5 to 70 degrees two-theta), most intense first:
31.4 deg, intensity 100
31.9 deg, intensity 45
31.1 deg, intensity 45
27.4 deg, intensity 37
55.5 deg, intensity 20
31.2 deg, intensity 19
44.6 deg, intensity 14
32.2 deg, intensity 11

Structure:
```
La5Nd2Ho
1.0
2.8753 -6.1021 0.0000
2.8753 6.1021 0.0000
0.0000 0.0000 16.6775
La Nd Ho
10 4 2
Direct
0.0343 0.9657 0.7500
0.1139 0.8861 0.0531
0.1139 0.8861 0.4469
0.4225 0.5775 0.0935
0.4225 0.5775 0.4065
0.5775 0.4225 0.5935
0.5775 0.4225 0.9065
0.8861 0.1139 0.5531
0.8861 0.1139 0.9469
0.9657 0.0343 0.2500
0.2758 0.7242 0.6338
0.2758 0.7242 0.8662
0.7242 0.2758 0.1338
0.7242 0.2758 0.3662
0.2482 0.7518 0.2500
0.7518 0.2482 0.7500
```

---

(2)
# La4Nd15Ho
Simulated powder XRD pattern, Cu Kα (λ = 1.5418 Å). Input: a cell relaxed with PBE.

The 5 most intense peaks (5 to 70 degrees two-theta), most intense first:
29.7 deg, intensity 100
34.4 deg, intensity 51
58.7 deg, intensity 43
49.4 deg, intensity 36
61.6 deg, intensity 12

Structure:
```
La4Nd15Ho
1.0
5.2212 0.0000 0.0000
0.0000 5.2212 0.0000
0.0000 0.0000 26.0550
La Nd Ho
4 15 1
Direct
0.0000 0.0000 0.1004
0.0000 0.0000 0.3010
0.0000 0.0000 0.6990
0.0000 0.0000 0.8996
0.0000 0.5000 0.0000
0.0000 0.5000 0.2007
0.0000 0.5000 0.4022
0.0000 0.5000 0.5978
0.0000 0.5000 0.7993
0.5000 0.0000 0.0000
0.5000 0.0000 0.2007
0.5000 0.0000 0.4022
0.5000 0.0000 0.5978
0.5000 0.0000 0.7993
0.5000 0.5000 0.1003
0.5000 0.5000 0.3019
0.5000 0.5000 0.5000
0.5000 0.5000 0.6981
0.5000 0.5000 0.8997
0.0000 0.0000 0.5000
```

---

(3)
# La2PmNdHo2
Simulated powder XRD pattern, Cu Kα (λ = 1.5418 Å). Input: a cell relaxed with PBE.

The 8 most intense peaks (5 to 70 degrees two-theta), most intense first:
30.6 deg, intensity 100
30.9 deg, intensity 87
31.1 deg, intensity 55
30.8 deg, intensity 36
44.3 deg, intensity 26
29.6 deg, intensity 19
55.1 deg, intensity 19
55.3 deg, intensity 17

Structure:
```
La2PmNdHo2
1.0
5.7449 0.0000 0.0000
0.0000 10.1732 0.0000
0.0000 0.0000 7.0808
La Pm Nd Ho
4 2 2 4
Direct
0.0000 0.0164 0.0000
0.0000 0.9836 0.5000
0.5000 0.1870 0.2635
0.5000 0.8130 0.7635
0.5000 0.4845 0.9462
0.5000 0.5155 0.4462
0.0000 0.3179 0.6847
0.0000 0.6821 0.1847
0.0000 0.3593 0.1932
0.0000 0.6407 0.6932
0.5000 0.1450 0.7541
0.5000 0.8550 0.2541
```

---

(4)
# LaPm2Nd2Ho
Simulated powder XRD pattern, Cu Kα (λ = 1.5418 Å). Input: a cell relaxed with PBE.

The 8 most intense peaks (5 to 70 degrees two-theta), most intense first:
30.9 deg, intensity 100
30.8 deg, intensity 88
54.9 deg, intensity 34
44.2 deg, intensity 33
61.0 deg, intensity 29
55.0 deg, intensity 20
40.1 deg, intensity 13
51.2 deg, intensity 8

Structure:
```
LaPm2Nd2Ho
1.0
7.1389 0.0000 0.0000
0.0000 5.7913 0.0000
0.0000 0.0000 10.0120
La Pm Nd Ho
2 4 4 2
Direct
0.0000 0.0000 0.0000
0.5000 0.0000 0.0000
0.2500 0.0000 0.3355
0.2500 0.5000 0.8303
0.7500 0.0000 0.6645
0.7500 0.5000 0.1697
0.0000 0.5000 0.5000
0.2500 0.0000 0.6690
0.5000 0.5000 0.5000
0.7500 0.0000 0.3310
0.2500 0.5000 0.1652
0.7500 0.5000 0.8348
```

---

(5)
# LaPmNd2Ho4
Simulated powder XRD pattern, Cu Kα (λ = 1.5418 Å). Input: a cell relaxed with PBE.

The 8 most intense peaks (5 to 70 degrees two-theta), most intense first:
30.4 deg, intensity 100
34.8 deg, intensity 17
35.0 deg, intensity 17
35.8 deg, intensity 16
59.6 deg, intensity 15
59.9 deg, intensity 15
60.9 deg, intensity 14
63.1 deg, intensity 12

Structure:
```
LaPmNd2Ho4
1.0
7.2694 0.0000 0.0000
0.0477 7.2746 0.0000
0.0106 0.0087 10.0423
La Pm Nd Ho
2 2 4 8
Direct
0.0000 0.0000 0.0000
0.4998 0.0008 0.9999
0.9999 0.0007 0.4998
0.0000 0.5001 0.9999
0.9998 0.5007 0.4999
0.5000 0.0001 0.4999
0.5000 0.5001 0.5000
0.4999 0.5007 0.9999
0.2495 0.2516 0.7484
0.2494 0.7491 0.2514
0.2494 0.7492 0.7484
0.2496 0.2516 0.2514
0.7503 0.2516 0.2513
0.7503 0.7491 0.2513
0.7504 0.7492 0.7486
0.7505 0.2517 0.7485
```

---

(6)
# La2PrNd3Ho6
Simulated powder XRD pattern, Cu Kα (λ = 1.5418 Å). Input: a cell relaxed with PBE.

The 8 most intense peaks (5 to 70 degrees two-theta), most intense first:
30.2 deg, intensity 100
35.2 deg, intensity 67
30.7 deg, intensity 32
60.0 deg, intensity 29
50.2 deg, intensity 24
50.9 deg, intensity 23
59.8 deg, intensity 14
60.6 deg, intensity 14

Structure:
```
La2PrNd3Ho6
1.0
3.1451 -5.4471 0.0000
3.1451 5.4471 0.0000
-2.0931 0.0000 11.6590
La Pr Nd Ho
2 1 3 6
Direct
0.1665 0.8335 0.0000
0.8335 0.1665 0.0000
0.5000 0.5000 0.0000
0.0000 0.0000 0.5000
0.3335 0.6665 0.5000
0.6665 0.3335 0.5000
0.0831 0.4159 0.7482
0.2514 0.2514 0.2518
0.4159 0.0831 0.7482
0.5841 0.9169 0.2518
0.7486 0.7486 0.7482
0.9169 0.5841 0.2518
```

---

(7)
# La2PrNd2Ho2
Simulated powder XRD pattern, Cu Kα (λ = 1.5418 Å). Input: a cell relaxed with PBE.

The 8 most intense peaks (5 to 70 degrees two-theta), most intense first:
29.8 deg, intensity 100
29.9 deg, intensity 99
34.6 deg, intensity 68
49.8 deg, intensity 60
59.2 deg, intensity 43
34.7 deg, intensity 33
59.0 deg, intensity 29
59.3 deg, intensity 14

Structure:
```
La2PrNd2Ho2
1.0
5.7844 -2.5819 0.0000
5.7844 2.5819 0.0000
-1.1314 0.0000 8.1389
La Pr Nd Ho
2 1 2 2
Direct
0.1422 0.1422 0.4278
0.8578 0.8578 0.5722
0.0000 0.0000 0.0000
0.2850 0.2850 0.8580
0.7150 0.7150 0.1420
0.4289 0.4289 0.2860
0.5711 0.5711 0.7140
```

---

(8)
# LaPr2NdHo
Simulated powder XRD pattern, Cu Kα (λ = 1.5418 Å). Input: a cell relaxed with PBE.

The 8 most intense peaks (5 to 70 degrees two-theta), most intense first:
29.4 deg, intensity 100
28.9 deg, intensity 96
27.6 deg, intensity 84
28.0 deg, intensity 63
31.8 deg, intensity 57
33.7 deg, intensity 49
34.2 deg, intensity 48
51.5 deg, intensity 44

Structure:
```
LaPr2NdHo
1.0
8.5851 0.0000 0.0000
0.0000 6.6280 0.0000
-0.5259 0.0000 6.3643
La Pr Nd Ho
2 4 2 2
Direct
0.0000 0.0000 0.0000
0.0000 0.0000 0.5000
0.3121 0.3090 0.2229
0.3121 0.6910 0.7229
0.6879 0.3090 0.2771
0.6879 0.6910 0.7771
0.0000 0.4359 0.7500
0.0000 0.5641 0.2500
0.5000 0.1659 0.7500
0.5000 0.8341 0.2500
```